Theoretical X-ray diffraction stick pattern of K2Al2Au3 for a wavelength of 1.5418 Å, from DFT lattice parameters and positions (PBE).
Lines closer than 0.1° are merged.

Structure:
```
data_K2Al2Au3
_chemical_formula_sum 'K2 Al2 Au3'
_symmetry_space_group_name_H-M 'P -1'
_symmetry_Int_Tables_number 2
_cell_length_a 4.8642
_cell_length_b 6.0648
_cell_length_c 6.7865
_cell_angle_alpha 77.22
_cell_angle_beta 89.98
_cell_angle_gamma 66.55
loop_
_symmetry_equiv_pos_as_xyz
'x,y,z'
'-x,-y,-z'
loop_
_atom_site_label
_atom_site_type_symbol
_atom_site_fract_x
_atom_site_fract_y
_atom_site_fract_z
_atom_site_occupancy
K1 K 0.1450 0.2090 0.3465 1
Al1 Al 0.4098 0.6804 0.1118 1
Au1 Au 0.1797 0.1401 0.8948 1
Au2 Au 0.5000 0.5000 0.5000 1
```

Top 10 peaks for 10 to 80 degrees two-theta, by intensity:
2θ (°), d/Å, I/Imax, h k l
18.57, 4.778, 100.0, 0 1 1
32.21, 2.779, 62.7, 1 1 2
25.29, 3.521, 61.3, 1 0 1
30.85, 2.899, 47.2, 1 -1 0
30.96, 2.889, 46.8, 1 2 0
36.96, 2.432, 36.8, 2 1 0
41.67, 2.167, 27.6, 2 2 1
35.17, 2.552, 25.2, 0 1 -2
37.65, 2.389, 21.6, 0 2 2
48.02, 1.895, 15.9, 1 0 3